# 1
This entry pairs a crystal structure of MgZn4O5 with its calculated powder XRD pattern. Radiation: Cu Kα, 1.54184 Å. Structure: a DFT-relaxed cell (PBE, the Materials Project).
Peak positions follow from Bragg's law for the DFT cell and can differ from measured ones.

Main lines, sorted by position (10 to 90 degrees two-theta):
Position (°2θ), intensity
31.4, 58.5
34.0, 41.3
35.8, 100.0
47.0, 25.5
55.9, 38.3
62.1, 35.9
65.5, 6.2
67.1, 30.3
68.2, 15.0
88.4, 12.4

Crystal structure
```
data_MgZn4O5
_symmetry_space_group_name_H-M 'P 1'
_symmetry_Int_Tables_number 1
_cell_length_a 3.2894
_cell_length_b 3.2894
_cell_length_c 26.3396
_cell_angle_alpha 90.00
_cell_angle_beta 90.00
_cell_angle_gamma 120.00
loop_
_symmetry_equiv_pos_as_xyz
'x,y,z'
loop_
_atom_site_label
_atom_site_type_symbol
_atom_site_fract_x
_atom_site_fract_y
_atom_site_fract_z
Mg1 Mg 0.0000 0.0000 0.0000
Mg2 Mg 0.0000 0.0000 0.2000
Zn1 Zn 0.0000 0.0000 0.3992
Zn2 Zn 0.0000 0.0000 0.5992
Zn3 Zn 0.0000 0.0000 0.7992
Zn4 Zn 0.6667 0.3333 0.0986
Zn5 Zn 0.6667 0.3333 0.2987
Zn6 Zn 0.6667 0.3333 0.4992
Zn7 Zn 0.6667 0.3333 0.6992
Zn8 Zn 0.6667 0.3333 0.8991
O1 O 0.0000 0.0000 0.1237
O2 O 0.0000 0.0000 0.3229
O3 O 0.0000 0.0000 0.5230
O4 O 0.0000 0.0000 0.7230
O5 O 0.0000 0.0000 0.9238
O6 O 0.6667 0.3333 0.0223
O7 O 0.6667 0.3333 0.2223
O8 O 0.6667 0.3333 0.4230
O9 O 0.6667 0.3333 0.6230
O10 O 0.6667 0.3333 0.8230
```

***

# 2
This entry pairs a crystal structure of SiO2 with its calculated powder XRD pattern. Radiation: Cu Kα, 1.54184 Å. Structure: a DFT-relaxed cell (PBE, the Materials Project).
Peak positions follow from Bragg's law for the DFT cell and can differ from measured ones.

Main lines, sorted by position (10 to 90 degrees two-theta):
Position (°2θ), intensity
17.9, 100.0
18.1, 32.5
25.0, 28.5
28.8, 18.4
31.5, 50.1
36.2, 12.4
38.9, 7.8
48.2, 8.7
61.0, 8.3
62.1, 6.6

Crystal structure
```
data_SiO2
_symmetry_space_group_name_H-M 'P 1'
_symmetry_Int_Tables_number 1
_cell_length_a 6.9225
_cell_length_b 6.9225
_cell_length_c 7.1362
_cell_angle_alpha 90.00
_cell_angle_beta 90.00
_cell_angle_gamma 90.00
loop_
_symmetry_equiv_pos_as_xyz
'x,y,z'
loop_
_atom_site_label
_atom_site_type_symbol
_atom_site_fract_x
_atom_site_fract_y
_atom_site_fract_z
Si1 Si 0.0481 0.2951 0.0513
Si2 Si 0.2049 0.4519 0.4487
Si3 Si 0.2951 0.9519 0.9487
Si4 Si 0.4519 0.7951 0.5513
Si5 Si 0.5481 0.2049 0.5513
Si6 Si 0.7049 0.0481 0.9487
Si7 Si 0.7951 0.5481 0.4487
Si8 Si 0.9519 0.7049 0.0513
O1 O 0.0000 0.5000 0.5512
O2 O 0.0000 0.5000 0.9488
O3 O 0.1580 0.3420 0.2500
O4 O 0.1585 0.8169 0.0808
O5 O 0.1831 0.1585 0.9192
O6 O 0.3169 0.6585 0.4192
O7 O 0.3415 0.3169 0.5808
O8 O 0.3420 0.8420 0.7500
O9 O 0.5000 0.0000 0.0512
O10 O 0.5000 0.0000 0.4488
O11 O 0.6580 0.1580 0.7500
O12 O 0.6585 0.6831 0.5808
O13 O 0.6831 0.3415 0.4192
O14 O 0.8169 0.8415 0.9192
O15 O 0.8415 0.1831 0.0808
O16 O 0.8420 0.6580 0.2500
```

***

# 3
This entry pairs a crystal structure of MgSnBiO4 with its calculated powder XRD pattern. Radiation: Cu Kα, 1.54184 Å. Structure: a DFT-relaxed cell (PBE, the Materials Project).
Peak positions follow from Bragg's law for the DFT cell and can differ from measured ones.

Main lines, sorted by position (10 to 90 degrees two-theta):
Position (°2θ), intensity
21.2, 40.3
21.4, 42.5
22.3, 100.0
28.1, 57.8
29.0, 29.6
29.4, 30.3
32.5, 56.2
32.7, 55.9
40.8, 38.8
41.5, 32.3

Crystal structure
```
data_MgSnBiO4
_symmetry_space_group_name_H-M 'P 1'
_symmetry_Int_Tables_number 1
_cell_length_a 7.0215
_cell_length_b 7.0215
_cell_length_c 4.4241
_cell_angle_alpha 107.59
_cell_angle_beta 107.59
_cell_angle_gamma 34.85
loop_
_symmetry_equiv_pos_as_xyz
'x,y,z'
loop_
_atom_site_label
_atom_site_type_symbol
_atom_site_fract_x
_atom_site_fract_y
_atom_site_fract_z
Mg1 Mg 0.0000 0.0000 0.0000
Sn1 Sn 0.5011 0.5011 0.5011
Bi1 Bi 0.2823 0.2823 0.7890
O1 O 0.0456 0.0456 0.5444
O2 O 0.3402 0.3402 0.3476
O3 O 0.5102 0.5102 0.0102
O4 O 0.8462 0.8462 0.8532
```

***

# 4
This entry pairs a crystal structure of Mo3WSe6S2 with its calculated powder XRD pattern. Radiation: Cu Kα, 1.54184 Å. Structure: a DFT-relaxed cell (PBE, the Materials Project).
Peak positions follow from Bragg's law for the DFT cell and can differ from measured ones.

Main lines, sorted by position (10 to 90 degrees two-theta):
Position (°2θ), intensity
11.8, 100.0
14.2, 19.8
31.4, 38.2
33.6, 13.2
36.9, 68.8
38.3, 12.9
44.7, 46.5
46.6, 17.6
55.9, 27.9
79.2, 12.5

Crystal structure
```
data_Mo3WSe6S2
_symmetry_space_group_name_H-M 'P 1'
_symmetry_Int_Tables_number 1
_cell_length_a 3.2920
_cell_length_b 3.2920
_cell_length_c 37.4109
_cell_angle_alpha 90.00
_cell_angle_beta 90.00
_cell_angle_gamma 120.00
loop_
_symmetry_equiv_pos_as_xyz
'x,y,z'
loop_
_atom_site_label
_atom_site_type_symbol
_atom_site_fract_x
_atom_site_fract_y
_atom_site_fract_z
Mo1 Mo 0.0000 0.0000 0.0000
Mo2 Mo 0.0000 0.0000 0.3758
Mo3 Mo 0.3333 0.6667 0.5636
W1 W 0.3333 0.6667 0.1878
Se1 Se 0.0000 0.0000 0.1426
Se2 Se 0.0000 0.0000 0.2332
Se3 Se 0.0000 0.0000 0.5186
Se4 Se 0.0000 0.0000 0.6088
Se5 Se 0.3333 0.6667 0.3307
Se6 Se 0.3333 0.6667 0.4208
S1 S 0.3333 0.6667 0.0411
S2 S 0.3333 0.6667 0.9589
```

***

# 5
This entry pairs a crystal structure of CuSi2P3 with its calculated powder XRD pattern. Radiation: Cu Kα, 1.54184 Å. Structure: a DFT-relaxed cell (PBE, the Materials Project).
Peak positions follow from Bragg's law for the DFT cell and can differ from measured ones.

Main lines, sorted by position (10 to 90 degrees two-theta):
Position (°2θ), intensity
15.7, 64.5
23.6, 16.8
29.5, 49.6
30.2, 100.0
31.7, 32.8
33.9, 21.7
40.7, 15.6
49.3, 52.2
50.1, 33.0
59.3, 24.3

Crystal structure
```
data_CuSi2P3
_symmetry_space_group_name_H-M 'P 1'
_symmetry_Int_Tables_number 1
_cell_length_a 11.4761
_cell_length_b 11.4761
_cell_length_c 6.4417
_cell_angle_alpha 94.43
_cell_angle_beta 94.43
_cell_angle_gamma 18.24
loop_
_symmetry_equiv_pos_as_xyz
'x,y,z'
loop_
_atom_site_label
_atom_site_type_symbol
_atom_site_fract_x
_atom_site_fract_y
_atom_site_fract_z
Cu1 Cu 0.0000 0.0000 0.0000
Cu2 Cu 0.0921 0.0921 0.3732
Si1 Si 0.3580 0.3580 0.1316
Si2 Si 0.4832 0.4832 0.4877
Si3 Si 0.5749 0.5749 0.8855
Si4 Si 0.8536 0.8536 0.6291
P1 P 0.1115 0.1115 0.0503
P2 P 0.3135 0.3135 0.7901
P3 P 0.4572 0.4572 0.1492
P4 P 0.5808 0.5808 0.5479
P5 P 0.8139 0.8139 0.2840
P6 P 0.9531 0.9531 0.6680
```

***

# 6
This entry pairs a crystal structure of Pr6OsBr10 with its calculated powder XRD pattern. Radiation: Cu Kα, 1.54184 Å. Structure: a DFT-relaxed cell (PBE, the Materials Project).
Peak positions follow from Bragg's law for the DFT cell and can differ from measured ones.

Main lines, sorted by position (10 to 90 degrees two-theta):
Position (°2θ), intensity
10.4, 74.2
11.4, 35.3
12.2, 32.5
28.5, 100.0
28.8, 93.9
29.9, 81.3
40.8, 36.5
41.2, 34.5
42.2, 32.1
42.6, 31.3

Crystal structure
```
data_Pr6OsBr10
_symmetry_space_group_name_H-M 'P 1'
_symmetry_Int_Tables_number 1
_cell_length_a 7.7352
_cell_length_b 9.4748
_cell_length_c 9.7818
_cell_angle_alpha 108.33
_cell_angle_beta 97.22
_cell_angle_gamma 105.42
loop_
_symmetry_equiv_pos_as_xyz
'x,y,z'
loop_
_atom_site_label
_atom_site_type_symbol
_atom_site_fract_x
_atom_site_fract_y
_atom_site_fract_z
Pr1 Pr 0.0323 0.2122 0.4138
Pr2 Pr 0.1283 0.5500 0.2486
Pr3 Pr 0.3720 0.6440 0.6862
Pr4 Pr 0.6280 0.3560 0.3138
Pr5 Pr 0.8717 0.4500 0.7514
Pr6 Pr 0.9677 0.7878 0.5862
Os1 Os 0.0000 0.5000 0.5000
Br1 Br 0.0852 0.8678 0.3270
Br2 Br 0.2027 0.2431 0.1546
Br3 Br 0.2535 0.5858 0.9519
Br4 Br 0.3492 0.9561 0.7717
Br5 Br 0.4540 0.3246 0.5821
Br6 Br 0.5460 0.6754 0.4179
Br7 Br 0.6508 0.0439 0.2283
Br8 Br 0.7465 0.4142 0.0481
Br9 Br 0.7973 0.7569 0.8454
Br10 Br 0.9148 0.1322 0.6730
```

***

# 7
This entry pairs a crystal structure of TbFe10Mo2 with its calculated powder XRD pattern. Radiation: Cu Kα, 1.54184 Å. Structure: a DFT-relaxed cell (PBE, the Materials Project).
Peak positions follow from Bragg's law for the DFT cell and can differ from measured ones.

Main lines, sorted by position (10 to 90 degrees two-theta):
Position (°2θ), intensity
30.0, 18.7
36.6, 30.5
36.8, 32.6
38.1, 20.2
42.0, 20.6
42.2, 31.6
42.5, 100.0
43.7, 66.8
48.8, 22.6
71.8, 19.7

Crystal structure
```
data_TbFe10Mo2
_symmetry_space_group_name_H-M 'P 1'
_symmetry_Int_Tables_number 1
_cell_length_a 6.5141
_cell_length_b 6.5141
_cell_length_c 6.5141
_cell_angle_alpha 137.45
_cell_angle_beta 97.86
_cell_angle_gamma 97.27
loop_
_symmetry_equiv_pos_as_xyz
'x,y,z'
loop_
_atom_site_label
_atom_site_type_symbol
_atom_site_fract_x
_atom_site_fract_y
_atom_site_fract_z
Tb1 Tb 0.0000 0.0000 0.0000
Fe1 Fe 0.0000 0.0000 0.5000
Fe2 Fe 0.0000 0.5000 0.0000
Fe3 Fe 0.2203 0.5000 0.7203
Fe4 Fe 0.2251 0.7251 0.5000
Fe5 Fe 0.3582 0.0000 0.3582
Fe6 Fe 0.5000 0.0000 0.0000
Fe7 Fe 0.5000 0.5000 0.5000
Fe8 Fe 0.6418 0.0000 0.6418
Fe9 Fe 0.7749 0.2749 0.5000
Fe10 Fe 0.7797 0.5000 0.2797
Mo1 Mo 0.3568 0.3568 0.0000
Mo2 Mo 0.6432 0.6432 0.0000
```

***

# 8
This entry pairs a crystal structure of Mg6ZrB with its calculated powder XRD pattern. Radiation: Cu Kα, 1.54184 Å. Structure: a DFT-relaxed cell (PBE, the Materials Project).
Peak positions follow from Bragg's law for the DFT cell and can differ from measured ones.

Main lines, sorted by position (10 to 90 degrees two-theta):
Position (°2θ), intensity
16.1, 71.3
18.9, 23.3
24.9, 51.4
32.7, 43.3
37.9, 59.1
38.0, 100.0
38.3, 35.1
51.2, 23.1
69.0, 25.3
71.7, 33.1

Crystal structure
```
data_Mg6ZrB
_symmetry_space_group_name_H-M 'P 1'
_symmetry_Int_Tables_number 1
_cell_length_a 4.7002
_cell_length_b 6.3500
_cell_length_c 6.3500
_cell_angle_alpha 59.68
_cell_angle_beta 90.00
_cell_angle_gamma 90.00
loop_
_symmetry_equiv_pos_as_xyz
'x,y,z'
loop_
_atom_site_label
_atom_site_type_symbol
_atom_site_fract_x
_atom_site_fract_y
_atom_site_fract_z
Mg1 Mg 0.0000 0.0000 0.0000
Mg2 Mg 0.0000 0.0030 0.4912
Mg3 Mg 0.0000 0.4912 0.0030
Mg4 Mg 0.5000 0.3321 0.8232
Mg5 Mg 0.5000 0.8232 0.3321
Mg6 Mg 0.5000 0.8368 0.8368
Zr1 Zr 0.0000 0.4817 0.4817
B1 B 0.5000 0.3876 0.3876
```